No. 1
Theoretical powder X-ray diffraction pattern of CuH12N2Cl4O2 for λ = 1.5418 Å (Cu Kα), from DFT lattice parameters and positions (PBE).

Cell and atoms:
a b c (Å): 7.6391 7.6391 7.9592
angles (deg): 90.00 90.00 90.00
Space group P4_2/mnm (No. 136)
Inequivalent atoms, fractional coordinates:
Cu  0.0000  0.0000  0.0000
H  0.0703  0.4142  0.1754
H  0.0750  0.0750  0.3237
N  0.0000  0.5000  0.2500
Cl  0.2112  0.2112  0.0000
Cl  0.2166  0.2166  0.5000
O  0.0000  0.0000  0.2502

The 10 most intense peaks (2θ = 5–70°), in order of falling intensity:
Position (°2θ)	d_spacing	Rel. int.
33.17	2.701	100
16.08	5.511	87
32.49	2.756	54
16.41	5.402	51
22.34	3.980	43
28.43	3.139	41
57.53	1.602	30
27.85	3.204	27
40.36	2.235	26
26.08	3.416	26

---

No. 2
Theoretical powder X-ray diffraction pattern of CuH12N2Cl4O2 for λ = 1.5418 Å (Cu Kα), from DFT lattice parameters and positions (PBE).

Cell and atoms:
a b c (Å): 7.7099 7.7240 7.9888
angles (deg): 89.48 89.65 88.67
Space group P1 (No. 1)
Inequivalent atoms, fractional coordinates:
Cu  0.0000  0.0000  0.0000
Cu  0.4790  0.5159  0.5008
H  0.0371  0.4079  0.6514
H  0.0624  0.0837  0.6756
H  0.0616  0.0847  0.3205
H  0.0766  0.4609  0.2943
H  0.0895  0.5960  0.7415
H  0.3855  0.0505  0.2015
H  0.3851  0.0496  0.7999
H  0.4087  0.5911  0.1766
H  0.4113  0.5904  0.8221
H  0.5266  0.1284  0.3440
H  0.5277  0.1293  0.6554
H  0.5398  0.9178  0.2947
H  0.5401  0.9177  0.7072
H  0.5581  0.4423  0.1796
H  0.5616  0.4416  0.8216
H  0.5958  0.0731  0.8438
H  0.5963  0.0755  0.1554
H  0.8869  0.4192  0.1958
H  0.8911  0.5755  0.3437
H  0.8914  0.5775  0.6582
H  0.9171  0.9373  0.3226
H  0.9170  0.9374  0.6808
H  0.9431  0.4668  0.8368
H  0.9870  0.6087  0.1579
N  0.5100  0.0401  0.2489
N  0.5097  0.0399  0.7512
N  0.9620  0.5152  0.2484
N  0.9895  0.5112  0.7230
Cl  0.1973  0.2334  0.4943
Cl  0.2010  0.2097  0.9973
Cl  0.2705  0.7305  0.9973
Cl  0.2734  0.7259  0.5002
Cl  0.6905  0.3052  0.4988
Cl  0.7164  0.2998  0.9993
Cl  0.7645  0.7919  0.5017
Cl  0.7878  0.8064  0.0009
O  0.4836  0.5179  0.2516
O  0.4851  0.5149  0.7487
O  0.9815  0.0183  0.2495
O  0.9834  0.0181  0.7502

The 10 most intense peaks (2θ = 5–70°), in order of falling intensity:
Position (°2θ)	d_spacing	Rel. int.
32.42	2.761	100
16.04	5.525	99
15.91	5.570	65
33.22	2.697	62
22.26	3.994	56
32.14	2.785	35
16.44	5.393	33
47.12	1.929	28
45.41	1.997	27
27.84	3.205	21

---

No. 3
Theoretical powder X-ray diffraction pattern of CuH12N2Cl4O2 for λ = 1.5418 Å (Cu Kα), from DFT lattice parameters and positions (PBE).

Cell and atoms:
a b c (Å): 7.6681 7.6681 8.1129
angles (deg): 90.00 90.00 90.00
Space group P4_2/mnm (No. 136)
Inequivalent atoms, fractional coordinates:
Cu  0.0000  0.0000  0.0000
H  0.0683  0.4133  0.3236
H  0.0743  0.0743  0.3126
N  0.0000  0.5000  0.2500
Cl  0.2087  0.2087  0.0000
Cl  0.2165  0.2165  0.5000
O  0.0000  0.0000  0.2414

The 10 most intense peaks (2θ = 5–70°), in order of falling intensity:
Position (°2θ)	d_spacing	Rel. int.
33.04	2.711	100
15.90	5.573	99
32.12	2.786	56
16.35	5.422	53
21.91	4.056	45
28.25	3.159	44
56.68	1.624	32
27.46	3.248	29
25.98	3.429	28
40.00	2.254	26

---

No. 4
Theoretical powder X-ray diffraction pattern of Na3CuPHClO5 for λ = 1.5418 Å (Cu Kα), from DFT lattice parameters and positions (PBE).

Cell and atoms:
a b c (Å): 11.2037 6.8870 8.5528
angles (deg): 90.00 90.00 90.00
Space group Pnma (No. 62)
Inequivalent atoms, fractional coordinates:
Na  0.0183  0.2500  0.2173
Na  0.2462  0.0407  0.4089
Cu  0.0000  0.0000  0.5000
P  0.0403  0.7500  0.1816
H  0.1261  0.2500  0.9594
Cl  0.2247  0.7500  0.6317
O  0.0684  0.5648  0.2752
O  0.0763  0.2500  0.4761
O  0.0968  0.7500  0.0177
O  0.1059  0.2500  0.8474

The 10 most intense peaks (2θ = 5–70°), in order of falling intensity:
Position (°2θ)	d_spacing	Rel. int.
29.08	3.071	100
13.02	6.798	84
15.82	5.602	67
46.90	1.937	44
45.40	1.998	40
32.40	2.763	39
31.95	2.801	38
22.95	3.874	38
53.23	1.721	34
34.39	2.608	34

---

No. 5
Theoretical powder X-ray diffraction pattern of CuH4Cl2O2 for λ = 1.5418 Å (Cu Kα), from DFT lattice parameters and positions (PBE).

Cell and atoms:
a b c (Å): 8.0612 3.8968 7.4591
angles (deg): 90.00 90.00 90.00
Space group Pmna (No. 53)
Inequivalent atoms, fractional coordinates:
Cu  0.0000  0.0000  0.0000
H  0.1882  0.1275  0.4142
Cl  0.0000  0.3512  0.2465
O  0.2412  0.0000  0.0000

The 10 most intense peaks (2θ = 5–70°), in order of falling intensity:
Position (°2θ)	d_spacing	Rel. int.
16.19	5.475	100
33.25	2.694	75
22.05	4.031	53
28.11	3.175	51
25.79	3.454	26
57.07	1.614	25
40.26	2.240	24
44.98	2.015	20
34.19	2.623	20
22.82	3.897	20

---

No. 6
Theoretical powder X-ray diffraction pattern of CuH4Pb2Cl2O4 for λ = 1.5418 Å (Cu Kα), from DFT lattice parameters and positions (PBE).

Cell and atoms:
a b c (Å): 5.9663 5.9663 5.5625
angles (deg): 90.00 90.00 90.00
Space group P4mm (No. 99)
Inequivalent atoms, fractional coordinates:
Cu  0.0000  0.0000  0.0000
H  0.2932  0.2932  0.0955
Pb  0.0000  0.5000  0.7044
Cl  0.0000  0.0000  0.4646
Cl  0.5000  0.5000  0.3929
O  0.2336  0.2336  0.9427

The 10 most intense peaks (2θ = 5–70°), in order of falling intensity:
Position (°2θ)	d_spacing	Rel. int.
26.52	3.361	100
15.93	5.562	61
38.78	2.322	54
29.95	2.983	44
34.10	2.629	40
51.12	1.787	34
59.17	1.561	31
21.06	4.219	30
42.87	2.109	27
46.02	1.972	18

---

No. 7
Theoretical powder X-ray diffraction pattern of Rb2CuH4Cl4O2 for λ = 1.5418 Å (Cu Kα), from DFT lattice parameters and positions (PBE).

Cell and atoms:
a b c (Å): 7.7935 7.7935 8.0854
angles (deg): 90.00 90.00 90.00
Space group P4_2/mnm (No. 136)
Inequivalent atoms, fractional coordinates:
Rb  0.0000  0.5000  0.2500
Cu  0.0000  0.0000  0.0000
H  0.0732  0.0732  0.3171
Cl  0.2062  0.2062  0.0000
Cl  0.2080  0.2080  0.5000
O  0.0000  0.0000  0.2444

The 10 most intense peaks (2θ = 5–70°), in order of falling intensity:
Position (°2θ)	d_spacing	Rel. int.
32.49	2.755	100
31.90	2.806	99
27.36	3.260	98
42.98	2.104	41
22.82	3.897	39
15.79	5.611	37
56.46	1.630	36
46.62	1.948	27
54.90	1.672	23
44.84	2.021	22